Record 1
Computed powder diffractogram
Compound: KTlGa
Radiation: Cu Kα, 1.54184 Å
Structure: a PBE-relaxed structure
Lines closer than 0.1° are merged.

Peak list (8 most intense, 2θ from 5° to 70°, most intense first)
- 2θ 13.50, I 100
- 2θ 27.57, I 79
- 2θ 34.41, I 61
- 2θ 31.80, I 41
- 2θ 30.13, I 37
- 2θ 36.13, I 28
- 2θ 24.54, I 28
- 2θ 17.84, I 26

a = 6.5623 Å, b = 4.3537 Å, c = 7.3773 Å
α = 90.00°, β = 91.63°, γ = 90.00°
Positions (direct):
K: 0.0946 0.2500 0.2535
K: 0.9054 0.7500 0.7465
Tl: 0.3763 0.2500 0.8289
Tl: 0.6237 0.7500 0.1711
Ga: 0.4124 0.7500 0.5490
Ga: 0.5876 0.2500 0.4510

=====

Record 2
Computed powder diffractogram
Compound: TbNd6Al
Radiation: Cu Kα, 1.54184 Å
Structure: a PBE-relaxed structure
Lines closer than 0.1° are merged.

Peak list (8 most intense, 2θ from 5° to 70°, most intense first)
- 2θ 31.83, I 100
- 2θ 30.81, I 94
- 2θ 31.02, I 71
- 2θ 31.95, I 55
- 2θ 57.50, I 32
- 2θ 45.15, I 27
- 2θ 28.65, I 26
- 2θ 26.78, I 24

a = 6.6848 Å, b = 6.6848 Å, c = 6.8242 Å
α = 95.07°, β = 95.07°, γ = 119.06°
Positions (direct):
Tb: 0.0000 0.0000 0.0000
Nd: 0.1600 0.5913 0.2375
Nd: 0.2511 0.2511 0.5626
Nd: 0.4087 0.8400 0.7625
Nd: 0.5913 0.1600 0.2375
Nd: 0.7489 0.7489 0.4374
Nd: 0.8400 0.4087 0.7625
Al: 0.5000 0.5000 0.0000

=====

Record 3
Computed powder diffractogram
Compound: IrN
Radiation: Cu Kα, 1.54184 Å
Structure: a PBE-relaxed structure
Lines closer than 0.1° are merged.

Peak list (8 most intense, 2θ from 5° to 70°, most intense first)
- 2θ 34.22, I 100
- 2θ 33.45, I 68
- 2θ 40.08, I 55
- 2θ 56.12, I 52
- 2θ 51.19, I 45
- 2θ 30.51, I 35
- 2θ 49.17, I 31
- 2θ 69.53, I 21

a = 6.0285 Å, b = 6.0285 Å, c = 6.0285 Å
α = 93.16°, β = 93.16°, γ = 152.84°
Positions (direct):
Ir: 0.0784 0.7824 0.8608
Ir: 0.2176 0.0784 0.2961
Ir: 0.7824 0.9216 0.7039
Ir: 0.9216 0.2176 0.1392
N: 0.1413 0.3160 0.4573
N: 0.3160 0.8587 0.1747
N: 0.6840 0.1413 0.8253
N: 0.8587 0.6840 0.5427

=====

Repeat the second record exactly.
Computed powder diffractogram
Compound: TbNd6Al
Radiation: Cu Kα, 1.54184 Å
Structure: a PBE-relaxed structure
Lines closer than 0.1° are merged.

Peak list (8 most intense, 2θ from 5° to 70°, most intense first)
- 2θ 31.83, I 100
- 2θ 30.81, I 94
- 2θ 31.02, I 71
- 2θ 31.95, I 55
- 2θ 57.50, I 32
- 2θ 45.15, I 27
- 2θ 28.65, I 26
- 2θ 26.78, I 24

a = 6.6848 Å, b = 6.6848 Å, c = 6.8242 Å
α = 95.07°, β = 95.07°, γ = 119.06°
Positions (direct):
Tb: 0.0000 0.0000 0.0000
Nd: 0.1600 0.5913 0.2375
Nd: 0.2511 0.2511 0.5626
Nd: 0.4087 0.8400 0.7625
Nd: 0.5913 0.1600 0.2375
Nd: 0.7489 0.7489 0.4374
Nd: 0.8400 0.4087 0.7625
Al: 0.5000 0.5000 0.0000

=====

- What is the formula in the third record?
  IrN